The following is a simulated powder X-ray diffraction pattern of Ba3Ti3Fe3Bi2O18. It was derived from DFT lattice parameters and positions (PBE+U), using λ = 1.5418 Å (Cu Kα).

Peak list (6 most intense, 10 to 90 degrees two-theta, in order of rising 2θ)
| 2θ (°) | I/Imax |
| --- | --- |
| 19.26 | 38 |
| 22.24 | 35 |
| 31.57 | 76 |
| 31.74 | 100 |
| 39.10 | 32 |
| 45.38 | 55 |

Structure:
```
Ba3Ti3Fe3Bi2O18
1.0
5.6384 0.0000 0.0000
-2.8192 4.8830 0.0000
0.0000 0.0000 13.9193
Ba Ti Fe Bi O
3 3 3 2 18
Direct
0.0000 0.0000 0.0000
0.0000 0.0000 0.4905
0.6667 0.3333 0.6708
0.0000 0.0000 0.2421
0.3333 0.6667 0.5671
0.6667 0.3333 0.4136
0.0000 0.0000 0.7571
0.3333 0.6667 0.0887
0.6667 0.3333 0.9231
0.3333 0.6667 0.7988
0.6667 0.3333 0.2046
0.1633 0.3265 0.1694
0.1633 0.8367 0.1694
0.1738 0.3476 0.6782
0.1738 0.8262 0.6782
0.3393 0.1696 0.8385
0.3490 0.1745 0.3306
0.5018 0.0037 0.5051
0.5018 0.4982 0.5051
0.5027 0.0054 0.0045
0.5027 0.4973 0.0045
0.6524 0.8262 0.6782
0.6735 0.8367 0.1694
0.8255 0.1745 0.3306
0.8255 0.6510 0.3306
0.8304 0.1696 0.8385
0.8304 0.6607 0.8385
0.9946 0.4973 0.0045
0.9963 0.4982 0.5051
```